# Rb2LiVO4
Simulated XRD peak list, Cu Kα X-rays. Input: a DFT-relaxed cell (GGA+U, Alexandria).

Cell and atoms:
a = 5.961 Å, b = 11.975 Å, c = 8.014 Å
α = 90.00°, β = 90.00°, γ = 90.00°
Space group Cmc2_1 (No. 36)
Inequivalent atoms, fractional coordinates:
Rb  0.000  0.063  0.000
Rb  0.000  0.396  0.858
Li  0.000  0.201  0.579
V  0.000  0.309  0.298
O  0.000  0.164  0.331
O  0.000  0.365  0.499
O  0.239  0.354  0.191

Principal peaks in the range 2θ from 10° to 90°, by intensity:
| 2θ (°) | I (rel.) | hkl |
| --- | --- | --- |
| 29.1 | 100 | 1 3 1 |
| 27.8 | 67 | 1 1 2 |
| 30.0 | 52 | 2 0 0 |
| 36.8 | 37 | 0 2 3 |
| 37.6 | 35 | 2 0 2 |
| 26.9 | 30 | 1 3 0 |